Record 1
# Zr6Tl3Ni
Computed XRD peak list, λ = 1.5418 Å (Cu Kα). Input: a structure optimized by DFT (PBE).

Lattice parameters (Å, degrees): 10.3504 6.1034 7.6249 90.00 106.24 90.00
Space group C2/m (No. 12)
Symmetry-distinct sites (fractional):
Zr  0.1282  0.2457  0.3325 [8 per cell]
Zr  0.1334  0.0000  0.9089 [4 per cell]
Tl  0.0000  0.5000  0.0000 [2 per cell]
Tl  0.1371  0.5000  0.7058 [4 per cell]
Ni  0.0000  0.0000  0.5000 [2 per cell]

Most intense lines, 2θ from 15° to 90°, sorted by position:
2θ = 17.05°, intensity 31
2θ = 22.37°, intensity 25
2θ = 31.89°, intensity 19
2θ = 34.30°, intensity 58
2θ = 34.88°, intensity 38
2θ = 35.89°, intensity 31
2θ = 36.16°, intensity 18
2θ = 36.83°, intensity 22
2θ = 38.39°, intensity 100
2θ = 39.46°, intensity 26

Record 2
# Zr4TlNi
Computed XRD peak list, λ = 1.5418 Å (Cu Kα). Input: a structure optimized by DFT (PBE).

Lattice parameters (Å, degrees): 6.7580 6.7580 5.6153 90.00 90.00 90.00
Space group P4/mcc (No. 124)
Symmetry-distinct sites (fractional):
Zr  0.1369  0.3234  0.0000 [8 per cell]
Tl  0.5000  0.5000  0.2500 [2 per cell]
Ni  0.0000  0.0000  0.2500 [2 per cell]

Most intense lines, 2θ from 15° to 90°, sorted by position:
2θ = 18.57°, intensity 33
2θ = 29.56°, intensity 34
2θ = 33.68°, intensity 100
2θ = 37.14°, intensity 69
2θ = 37.65°, intensity 21
2θ = 41.83°, intensity 58
2θ = 42.29°, intensity 71
2θ = 57.95°, intensity 20
2θ = 64.36°, intensity 23
2θ = 67.62°, intensity 27

Record 3
# TmNi12
Computed XRD peak list, λ = 1.5418 Å (Cu Kα). Input: a structure optimized by DFT (PBE).

Lattice parameters (Å, degrees): 8.1755 8.1755 4.6907 90.00 90.00 90.00
Space group I4/mmm (No. 139)
Symmetry-distinct sites (fractional):
Tm  0.0000  0.0000  0.0000 [2 per cell]
Ni  0.0000  0.2218  0.5000 [8 per cell]
Ni  0.0000  0.3539  0.0000 [8 per cell]
Ni  0.2500  0.2500  0.2500 [8 per cell]

Most intense lines, 2θ from 15° to 90°, sorted by position:
2θ = 31.00°, intensity 23
2θ = 38.19°, intensity 31
2θ = 38.38°, intensity 11
2θ = 44.35°, intensity 100
2θ = 44.54°, intensity 45
2θ = 49.90°, intensity 12
2θ = 50.09°, intensity 18
2θ = 73.58°, intensity 13
2θ = 81.62°, intensity 13
2θ = 81.74°, intensity 13

Record 4
# TmNi4
Computed XRD peak list, λ = 1.5418 Å (Cu Kα). Input: a structure optimized by DFT (PBE).

Lattice parameters (Å, degrees): 8.2705 8.2705 8.2705 90.00 90.00 90.00
Space group I-43m (No. 217)
Symmetry-distinct sites (fractional):
Tm  0.2226  0.2226  0.2226 [8 per cell]
Ni  0.0000  0.0000  0.3511 [12 per cell]
Ni  0.0000  0.2500  0.5000 [12 per cell]
Ni  0.1004  0.1004  0.8996 [8 per cell]

Most intense lines, 2θ from 15° to 90°, sorted by position:
2θ = 30.57°, intensity 66
2θ = 37.68°, intensity 100
2θ = 40.82°, intensity 58
2θ = 43.78°, intensity 30
2θ = 46.59°, intensity 80
2θ = 49.27°, intensity 23
2θ = 56.76°, intensity 20
2θ = 63.65°, intensity 20
2θ = 70.14°, intensity 35
2θ = 82.47°, intensity 19

Record 5
# Tm7Ni3
Computed XRD peak list, λ = 1.5418 Å (Cu Kα). Input: a structure optimized by DFT (PBE).

Lattice parameters (Å, degrees): 9.5019 9.5019 6.0790 90.00 90.00 120.00
Space group P6_3mc (No. 186)
Symmetry-distinct sites (fractional):
Tm  0.0827  0.5414  0.0000 [6 per cell]
Tm  0.1259  0.2517  0.6833 [6 per cell]
Tm  0.3333  0.6667  0.4834 [2 per cell]
Ni  0.1897  0.3794  0.2586 [6 per cell]

Most intense lines, 2θ from 15° to 90°, sorted by position:
2θ = 28.70°, intensity 18
2θ = 31.37°, intensity 40
2θ = 32.33°, intensity 100
2θ = 35.92°, intensity 37
2θ = 36.76°, intensity 32
2θ = 37.87°, intensity 25
2θ = 56.46°, intensity 23
2θ = 57.46°, intensity 24
2θ = 58.06°, intensity 21
2θ = 58.26°, intensity 16

Record 6
# Y2Tm6Ni
Computed XRD peak list, λ = 1.5418 Å (Cu Kα). Input: a structure optimized by DFT (PBE).

Lattice parameters (Å, degrees): 3.5372 9.0239 9.1257 68.16 89.96 89.88
Space group P-1 (No. 2)
Symmetry-distinct sites (fractional):
Y  0.9997  0.1876  0.1479 [2 per cell]
Tm  0.0003  0.2639  0.5105 [2 per cell]
Tm  0.4978  0.5036  0.1921 [2 per cell]
Tm  0.4993  0.1440  0.8390 [2 per cell]
Ni  0.5000  0.5000  0.5000 [1 per cell]

Most intense lines, 2θ from 15° to 90°, sorted by position:
2θ = 19.85°, intensity 38
2θ = 27.33°, intensity 54
2θ = 31.12°, intensity 36
2θ = 31.69°, intensity 100
2θ = 32.08°, intensity 65
2θ = 32.99°, intensity 47
2θ = 33.15°, intensity 76
2θ = 40.29°, intensity 38
2θ = 51.68°, intensity 38
2θ = 61.92°, intensity 35

Record 7
# YTm2Ni9
Computed XRD peak list, λ = 1.5418 Å (Cu Kα). Input: a structure optimized by DFT (PBE).

Lattice parameters (Å, degrees): 4.9492 4.9492 16.0949 90.00 90.00 120.00
Space group P6_3/mmc (No. 194)
Symmetry-distinct sites (fractional):
Y  0.3333  0.6667  0.2500 [2 per cell]
Tm  0.3333  0.6667  0.0410 [4 per cell]
Ni  0.0000  0.0000  0.0000 [2 per cell]
Ni  0.0000  0.0000  0.2500 [2 per cell]
Ni  0.1675  0.3349  0.6255 [12 per cell]
Ni  0.3333  0.6667  0.7500 [2 per cell]

Most intense lines, 2θ from 15° to 90°, sorted by position:
2θ = 34.86°, intensity 76
2θ = 36.30°, intensity 56
2θ = 42.56°, intensity 33
2θ = 42.91°, intensity 100
2θ = 44.73°, intensity 30
2θ = 45.58°, intensity 42
2θ = 64.38°, intensity 25
2θ = 68.31°, intensity 16
2θ = 69.86°, intensity 22
2θ = 77.08°, intensity 24

Record 8
# TmZn10Ni2
Computed XRD peak list, λ = 1.5418 Å (Cu Kα). Input: a structure optimized by DFT (PBE).

Lattice parameters (Å, degrees): 5.0059 12.3752 12.5712 90.00 90.00 90.00
Space group Fmmm (No. 69)
Symmetry-distinct sites (fractional):
Tm  0.0000  0.0000  0.0000 [4 per cell]
Zn  0.0000  0.1114  0.3959 [16 per cell]
Zn  0.0000  0.1809  0.1655 [16 per cell]
Zn  0.2500  0.0000  0.2500 [8 per cell]
Ni  0.2500  0.2500  0.0000 [8 per cell]

Most intense lines, 2θ from 15° to 90°, sorted by position:
2θ = 28.92°, intensity 22
2θ = 35.41°, intensity 80
2θ = 35.88°, intensity 28
2θ = 40.82°, intensity 69
2θ = 40.93°, intensity 86
2θ = 41.32°, intensity 86
2θ = 41.48°, intensity 100
2θ = 46.36°, intensity 45
2θ = 46.68°, intensity 21
2θ = 74.92°, intensity 34

Record 9
# TmZn4Ni4
Computed XRD peak list, λ = 1.5418 Å (Cu Kα). Input: a structure optimized by DFT (PBE).

Lattice parameters (Å, degrees): 7.8224 7.8224 4.2290 90.00 90.00 90.00
Space group I4/m (No. 87)
Symmetry-distinct sites (fractional):
Tm  0.0000  0.0000  0.0000 [2 per cell]
Zn  0.0815  0.3655  0.0000 [8 per cell]
Ni  0.1249  0.2159  0.5000 [8 per cell]

Most intense lines, 2θ from 15° to 90°, sorted by position:
2θ = 33.24°, intensity 66
2θ = 36.32°, intensity 59
2θ = 40.65°, intensity 100
2θ = 42.76°, intensity 52
2θ = 47.08°, intensity 89
2θ = 57.32°, intensity 30
2θ = 60.33°, intensity 19
2θ = 76.76°, intensity 19
2θ = 77.60°, intensity 18
2θ = 82.12°, intensity 21

Record 10
# Tm11Zn9Ni4
Computed XRD peak list, λ = 1.5418 Å (Cu Kα). Input: a structure optimized by DFT (PBE).

Lattice parameters (Å, degrees): 13.5836 20.5710 3.4828 90.00 90.00 90.00
Space group Cmmm (No. 65)
Symmetry-distinct sites (fractional):
Tm  0.0000  0.0000  0.0000 [2 per cell]
Tm  0.0000  0.1661  0.0000 [4 per cell]
Tm  0.0000  0.3713  0.0000 [4 per cell]
Tm  0.1981  0.5000  0.0000 [4 per cell]
Tm  0.2442  0.1698  0.0000 [8 per cell]
Zn  0.0000  0.5000  0.5000 [2 per cell]
Zn  0.1028  0.2648  0.5000 [8 per cell]
Zn  0.1452  0.0716  0.5000 [8 per cell]
Ni  0.1507  0.4005  0.5000 [8 per cell]

Most intense lines, 2θ from 15° to 90°, sorted by position:
2θ = 25.58°, intensity 23
2θ = 25.99°, intensity 21
2θ = 26.24°, intensity 23
2θ = 35.04°, intensity 21
2θ = 36.79°, intensity 99
2θ = 36.97°, intensity 100
2θ = 37.27°, intensity 77
2θ = 39.30°, intensity 27
2θ = 52.55°, intensity 28
2θ = 66.19°, intensity 31

Record 11
# Tm2Zn4Ni5
Computed XRD peak list, λ = 1.5418 Å (Cu Kα). Input: a structure optimized by DFT (PBE).

Lattice parameters (Å, degrees): 5.2607 8.6662 15.0264 90.00 90.00 90.00
Space group Fmmm (No. 69)
Symmetry-distinct sites (fractional):
Tm  0.0000  0.0000  0.1229 [8 per cell]
Zn  0.0000  0.1574  0.3701 [16 per cell]
Ni  0.0000  0.0000  0.5000 [4 per cell]
Ni  0.2500  0.2500  0.0000 [8 per cell]
Ni  0.2500  0.2500  0.2500 [8 per cell]

Most intense lines, 2θ from 15° to 90°, sorted by position:
2θ = 23.69°, intensity 32
2θ = 26.64°, intensity 29
2θ = 31.52°, intensity 57
2θ = 35.94°, intensity 24
2θ = 35.97°, intensity 62
2θ = 39.89°, intensity 89
2θ = 40.10°, intensity 51
2θ = 41.93°, intensity 100
2θ = 46.92°, intensity 50
2θ = 48.47°, intensity 45

Record 12
# Tm2ZrNi2
Computed XRD peak list, λ = 1.5418 Å (Cu Kα). Input: a structure optimized by DFT (PBE).

Lattice parameters (Å, degrees): 10.5753 5.7763 6.9115 90.00 100.75 90.00
Space group C2/c (No. 15)
Symmetry-distinct sites (fractional):
Tm  0.1497  0.1105  0.1493 [8 per cell]
Zr  0.0000  0.4111  0.7500 [4 per cell]
Ni  0.1490  0.3449  0.5032 [8 per cell]

Most intense lines, 2θ from 15° to 90°, sorted by position:
2θ = 30.09°, intensity 62
2θ = 30.37°, intensity 32
2θ = 30.87°, intensity 43
2θ = 33.10°, intensity 32
2θ = 33.72°, intensity 88
2θ = 34.14°, intensity 58
2θ = 36.86°, intensity 100
2θ = 39.19°, intensity 43
2θ = 42.25°, intensity 43
2θ = 61.77°, intensity 29